For Na4V3O8, DFT lattice parameters and positions (GGA+U) gives the computed X-ray powder pattern in this record (copper Kα).
Neutral-atom scattering factors, no anomalous dispersion.

a = 6.942 Å, b = 4.255 Å, c = 12.161 Å
α = 90.00°, β = 103.22°, γ = 90.00°
Space group P2_1/m (No. 11)
Symmetry-distinct sites (fractional):
Na (0.031, 0.250, 0.336) [2 per cell]
Na (0.192, 0.250, 0.603) [2 per cell]
Na (0.402, 0.250, 0.036) [2 per cell]
Na (0.468, 0.750, 0.714) [2 per cell]
V (0.095, 0.750, 0.926) [2 per cell]
V (0.207, 0.750, 0.190) [2 per cell]
V (0.350, 0.750, 0.444) [2 per cell]
O (0.050, 0.250, 0.935) [2 per cell]
O (0.091, 0.750, 0.312) [2 per cell]
O (0.172, 0.250, 0.173) [2 per cell]
O (0.196, 0.750, 0.542) [2 per cell]
O (0.249, 0.750, 0.835) [2 per cell]
O (0.326, 0.750, 0.065) [2 per cell]
O (0.386, 0.250, 0.455) [2 per cell]
O (0.453, 0.750, 0.307) [2 per cell]

Most intense lines, 10 to 90 degrees two-theta, by intensity:
Position (°2θ)  intensity  hkl
13.52  100.0  1 0 -1
42.49  61.8  0 2 0
38.85  57.8  2 0 3
24.72  51.2  1 1 0
41.25  44.1  2 0 -5
33.35  36.6  2 1 -1